This entry pairs a crystal structure of CsMn4Cl9 with its simulated XRD peak list. Radiation: Cu Kα (λ = 1.5418 Å). Structure: a cell relaxed with PBE.

Atomic structure:
```
CsMn4Cl9
1.0
-5.9323 5.9323 5.2291
5.9323 -5.9323 5.2291
5.9323 5.9323 -5.2291
Cs Mn Cl
2 8 18
Direct
0.3750 0.1250 0.2500
0.6250 0.8750 0.7500
0.0233 0.1736 0.4408
0.0824 0.5233 0.3496
0.2328 0.5824 0.0592
0.3264 0.2672 0.8496
0.6736 0.7328 0.1504
0.7672 0.4176 0.9408
0.9176 0.4767 0.6504
0.9767 0.8264 0.5592
0.0275 0.6582 0.9448
0.0853 0.0277 0.8388
0.1250 0.3750 0.7500
0.1582 0.7134 0.6307
0.2134 0.0827 0.5552
0.2535 0.4147 0.4424
0.3111 0.7535 0.3388
0.4173 0.4725 0.1307
0.4723 0.8111 0.0576
0.5277 0.1889 0.9424
0.5827 0.5275 0.8693
0.6889 0.2465 0.6612
0.7465 0.5853 0.5576
0.7866 0.9173 0.4448
0.8418 0.2866 0.3693
0.8750 0.6250 0.2500
0.9147 0.9723 0.1612
0.9725 0.3418 0.0552
```

Largest 12 diffraction maxima, by intensity, 15 to 90 degrees two-theta:
two_theta, I_rel
33.79, 100
18.75, 75
48.91, 62
34.30, 55
29.30, 47
20.01, 38
48.53, 31
60.77, 31
24.06, 27
30.69, 17
28.43, 15
81.05, 12

This entry pairs a crystal structure of Cs3Te22 with its simulated XRD peak list. Radiation: Cu Kα (λ = 1.5418 Å). Structure: a cell relaxed with PBE.

Atomic structure:
```
Cs3Te22
1.0
6.9537 -10.4733 0.0000
6.9537 10.4733 0.0000
-6.9083 0.0000 7.0135
Cs Te
3 22
Direct
0.0000 0.0000 0.0000
0.3155 0.6723 0.9898
0.6723 0.3155 0.9898
0.0005 0.2390 0.4053
0.0046 0.7809 0.5919
0.0496 0.0496 0.5630
0.0650 0.6861 0.1591
0.0997 0.4828 0.4046
0.1793 0.4052 0.1711
0.2390 0.0005 0.4053
0.3155 0.3155 0.9385
0.3166 0.9389 0.8355
0.3671 0.3671 0.6786
0.4052 0.1793 0.1711
0.4785 0.4785 0.5135
0.4828 0.0997 0.4046
0.5278 0.9017 0.5779
0.5887 0.8249 0.8154
0.6404 0.6404 0.2865
0.6497 0.6497 0.0158
0.6861 0.0650 0.1591
0.7809 0.0046 0.5919
0.8249 0.5887 0.8154
0.9017 0.5278 0.5779
0.9389 0.3166 0.8355
```

Largest 12 diffraction maxima, by intensity, 15 to 90 degrees two-theta:
two_theta, I_rel
29.36, 100
23.89, 71
23.79, 70
30.02, 47
33.41, 44
29.71, 35
29.46, 34
25.51, 31
45.09, 23
45.29, 22
47.99, 21
46.00, 19

This entry pairs a crystal structure of Sc2GeSe with its simulated XRD peak list. Radiation: Cu Kα (λ = 1.5418 Å). Structure: a cell relaxed with PBE.

Atomic structure:
```
Sc2GeSe
1.0
3.8573 0.0000 0.0000
0.0000 5.4996 0.0000
0.0000 0.0000 7.8878
Sc Ge Se
4 2 2
Direct
0.2500 0.2500 0.1218
0.2500 0.2500 0.6376
0.7500 0.7500 0.3624
0.7500 0.7500 0.8782
0.2500 0.7500 0.1244
0.7500 0.2500 0.8756
0.2500 0.7500 0.6193
0.7500 0.2500 0.3807
```

Largest 12 diffraction maxima, by intensity, 15 to 90 degrees two-theta:
two_theta, I_rel
32.50, 100
46.65, 46
46.03, 12
57.51, 12
58.45, 12
47.12, 11
77.59, 10
77.43, 10
87.28, 7
85.69, 7
67.99, 7
27.84, 7

This entry pairs a crystal structure of Th2ZnSi4Pt3 with its simulated XRD peak list. Radiation: Cu Kα (λ = 1.5418 Å). Structure: a cell relaxed with PBE.

Atomic structure:
```
Th2ZnSi4Pt3
1.0
4.2677 0.0000 0.0000
0.0000 4.2677 0.0000
0.0000 0.0000 9.9367
Th Zn Si Pt
2 1 4 3
Direct
0.0000 0.5000 0.2475
0.5000 0.0000 0.7525
0.0000 0.0000 0.5000
0.0000 0.0000 0.0000
0.0000 0.5000 0.6356
0.5000 0.0000 0.3644
0.5000 0.5000 0.0000
0.0000 0.5000 0.8807
0.5000 0.0000 0.1193
0.5000 0.5000 0.5000
```

Largest 12 diffraction maxima, by intensity, 15 to 90 degrees two-theta:
two_theta, I_rel
34.27, 100
34.78, 87
42.36, 66
55.57, 52
30.97, 44
29.60, 38
27.55, 31
50.67, 29
68.12, 24
61.45, 22
72.59, 21
64.14, 18